Simulated PXRD pattern
Compound: Li2CoH8C2O10
Radiation: Cu Kα
Structure: DFT lattice parameters and positions (GGA+U)
Lines closer than 0.1° are merged.

Structure:
Cell lengths 8.5482, 6.9476, 13.8955 Å; angles 90.00, 99.81, 90.00 degrees
Space group C2/c (No. 15)
Symmetry-distinct sites (fractional):
Li 0.0812 0.1680 0.4423 x8
Co 0.0000 0.4551 0.2500 x4
H 0.0552 0.1875 0.8798 x8
H 0.1248 0.1536 0.6261 x8
H 0.1569 0.4653 0.0475 x8
H 0.1949 0.4628 0.9404 x8
C 0.2205 0.2376 0.2116 x8
O 0.0209 0.1104 0.5896 x8
O 0.1132 0.3263 0.1478 x8
O 0.1618 0.3469 0.8185 x8
O 0.1931 0.4523 0.4973 x8
O 0.2035 0.2438 0.3019 x8

Main lines, in order of rising 2θ (2θ from 10° to 90°):
d/Å  I_rel
6.846  100
5.360  69
4.462  69
4.014  35
3.038  32
2.593  37
2.576  46
2.408  30



Simulated PXRD pattern
Compound: LaCrSe2O
Radiation: Cu Kα
Structure: DFT lattice parameters and positions (GGA+U)
Lines closer than 0.1° are merged.

Structure:
Cell lengths 11.8830, 3.9307, 8.4201 Å; angles 90.00, 90.16, 90.00 degrees
Space group C2/m (No. 12)
Symmetry-distinct sites (fractional):
La 0.2281 0.0000 0.3070 x4
Cr 0.0000 0.0000 0.0000 x2
Cr 0.0000 0.5000 0.5000 x2
Se 0.0470 0.0000 0.6988 x4
Se 0.1402 0.5000 0.0283 x4
O 0.1663 0.5000 0.4414 x4

Main lines, in order of rising 2θ (2θ from 10° to 90°):
d/Å  I_rel
3.411  35
2.805  84
2.793  70
2.647  100
2.328  27
2.242  24
1.965  30
1.610  31



Simulated PXRD pattern
Compound: Nd4MnNi3O12
Radiation: Cu Kα
Structure: DFT lattice parameters and positions (GGA+U)
Lines closer than 0.1° are merged.

Structure:
Cell lengths 5.4438, 5.5358, 7.7155 Å; angles 90.17, 90.04, 90.15 degrees
Space group P-1 (No. 2)
Symmetry-distinct sites (fractional):
Nd 0.0109 0.0467 0.2528 x2
Nd 0.4893 0.5499 0.2522 x2
Mn 0.0000 0.5000 0.0000 x1
Ni 0.0000 0.5000 0.5000 x1
Ni 0.5000 0.0000 0.0000 x1
Ni 0.5000 0.0000 0.5000 x1
O 0.0810 0.5183 0.7563 x2
O 0.2023 0.7823 0.0449 x2
O 0.2180 0.7930 0.4568 x2
O 0.2815 0.2966 0.0432 x2
O 0.2935 0.2830 0.4561 x2
O 0.4177 0.0187 0.7444 x2

Main lines, in order of rising 2θ (2θ from 10° to 90°):
d/Å  I_rel
3.881  17
2.768  29
2.738  100
2.731  32
2.722  33
1.943  16
1.929  19
1.574  36